Calculated powder diffractogram
Compound: LiCa3Tl2
Radiation: Cu Kα
Structure: a crystal structure in Alexandria, relaxed with PBE

Principal peaks in the range 15 to 90 degrees two-theta, sorted by position:
(hkl)  Position (°2θ)  d [Å]  intensity
0 0 2  15.48  5.724  22
1 0 0  22.50  3.951  33
0 0 3  23.31  3.816  15
1 0 1  23.82  3.735  28
1 0 2  27.43  3.252  20
1 1 0  32.03  2.794  53
1 0 3  32.62  2.745  100
1 1 1  33.00  2.714  13
1 1 3  40.00  2.254  16
2 0 0  45.94  1.976  19
2 1 3  57.47  1.603  39
1 1 6  58.59  1.576  18

Atomic structure:
Lattice parameters (Å, degrees): 3.9512 3.9512 11.4479 90.00 90.00 90.00
Positions (direct):
Li: 0.0000 0.0000 0.0000
Ca: 0.5000 0.5000 0.1747
Ca: 0.5000 0.5000 0.5000
Ca: 0.5000 0.5000 0.8253
Tl: 0.0000 0.0000 0.3325
Tl: 0.0000 0.0000 0.6675

Calculated powder diffractogram
Compound: Mg2InGa4
Radiation: Cu Kα
Structure: a crystal structure in Alexandria, relaxed with PBE

Principal peaks in the range 15 to 90 degrees two-theta, sorted by position:
(hkl)  Position (°2θ)  d [Å]  intensity
1 0 1  21.75  4.087  57
0 2 1  32.61  2.746  54
2 -1 0  33.30  2.691  80
0 1 -3  33.44  2.680  80
1 1 -3  35.58  2.523  50
-2 1 2  35.94  2.499  61
1 1 2  36.39  2.469  100
-1 2 2  36.77  2.444  61
2 -1 1  36.93  2.434  75
2 1 -1  38.81  2.320  55
2 -2 1  42.00  2.151  51
0 3 -1  45.00  2.015  51

Atomic structure:
Lattice parameters (Å, degrees): 5.6360 6.2411 8.7393 93.62 102.84 102.73
Positions (direct):
Mg: 0.0000 0.0000 0.0000
Mg: 0.1127 0.5099 0.9300
Mg: 0.3559 0.5683 0.5234
Mg: 0.5693 0.8677 0.2428
In: 0.6662 0.1010 0.6367
In: 0.9242 0.7136 0.6176
Ga: 0.0302 0.6832 0.2364
Ga: 0.1561 0.0788 0.4009
Ga: 0.2209 0.1998 0.7197
Ga: 0.3184 0.3729 0.2163
Ga: 0.4273 0.9149 0.8939
Ga: 0.6147 0.5776 0.8486
Ga: 0.6741 0.3014 0.0611
Ga: 0.8018 0.3354 0.3790